Entry 1:
This entry pairs a crystal structure of Ca4MgSi8Ni3O24 with its simulated XRD peak list. Radiation: Cu Kα, 1.54184 Å. Structure: DFT lattice parameters and positions (GGA+U).
No peak broadening, texture or thermal motion is included.

Structural model:
```
Ca4MgSi8Ni3O24
1.0
4.936 -4.494 0.000
4.936 4.494 0.000
-2.914 0.000 10.181
Ca Mg Si Ni O
4 1 8 3 24
Direct
0.000 0.000 0.000 Ca
0.000 0.000 0.500 Ca
0.596 0.403 0.751 Ca
0.597 0.404 0.249 Ca
0.389 0.611 0.500 Mg
0.105 0.323 0.260 Si
0.105 0.323 0.760 Si
0.491 0.081 0.990 Si
0.491 0.082 0.490 Si
0.677 0.895 0.240 Si
0.677 0.895 0.740 Si
0.918 0.509 0.510 Si
0.919 0.509 0.010 Si
0.206 0.794 0.250 Ni
0.206 0.794 0.750 Ni
0.389 0.611 0.000 Ni
0.095 0.674 0.553 O
0.096 0.674 0.053 O
0.188 0.091 0.214 O
0.188 0.091 0.714 O
0.270 0.499 0.303 O
0.270 0.499 0.803 O
0.326 0.904 0.947 O
0.326 0.905 0.447 O
0.408 0.313 0.036 O
0.409 0.314 0.536 O
0.501 0.730 0.197 O
0.501 0.730 0.697 O
0.630 0.071 0.373 O
0.631 0.071 0.873 O
0.667 0.034 0.123 O
0.667 0.034 0.623 O
0.686 0.591 0.464 O
0.687 0.592 0.964 O
0.909 0.812 0.286 O
0.909 0.812 0.786 O
0.929 0.369 0.127 O
0.929 0.370 0.627 O
0.966 0.333 0.377 O
0.966 0.333 0.877 O
```

Principal peaks in the range 2θ from 15° to 90°, most intense first:
- 2θ = 29.6°, I = 100.0
- 2θ = 35.4°, I = 46.0
- 2θ = 35.3°, I = 43.0
- 2θ = 29.9°, I = 38.0
- 2θ = 34.7°, I = 35.9
- 2θ = 42.0°, I = 25.5
- 2θ = 64.9°, I = 20.5
- 2θ = 56.2°, I = 17.9

---

Entry 2:
This entry pairs a crystal structure of Li9Mn2Co5O16 with its simulated XRD peak list. Radiation: Cu Kα, 1.54184 Å. Structure: DFT lattice parameters and positions (GGA+U).
No peak broadening, texture or thermal motion is included.

Structural model:
```
Li9Mn2Co5O16
1.0
5.836 0.000 0.000
2.866 5.909 0.000
2.894 -0.168 8.234
Li Mn Co O
9 2 5 16
Direct
0.000 0.000 0.000 Li
0.000 0.246 0.253 Li
0.001 0.751 0.735 Li
0.007 0.489 0.493 Li
0.248 0.999 0.495 Li
0.495 0.243 0.254 Li
0.498 0.502 0.495 Li
0.499 0.992 0.994 Li
0.508 0.751 0.738 Li
0.249 0.499 0.997 Mn
0.758 0.245 0.744 Mn
0.248 0.755 0.257 Co
0.251 0.245 0.742 Co
0.733 0.757 0.256 Co
0.749 0.499 0.994 Co
0.750 0.999 0.494 Co
0.102 0.028 0.752 O
0.114 0.277 0.981 O
0.120 0.747 0.485 O
0.131 0.504 0.228 O
0.377 0.237 0.516 O
0.385 0.475 0.758 O
0.388 0.718 0.999 O
0.390 0.982 0.233 O
0.616 0.274 0.986 O
0.627 0.509 0.230 O
0.638 0.010 0.747 O
0.640 0.751 0.485 O
0.856 0.487 0.758 O
0.861 0.241 0.514 O
0.876 0.995 0.249 O
0.895 0.717 0.998 O
```

Principal peaks in the range 2θ from 15° to 90°, most intense first:
- 2θ = 18.3°, I = 100.0
- 2θ = 43.4°, I = 27.7
- 2θ = 43.8°, I = 26.9
- 2θ = 44.0°, I = 26.0
- 2θ = 36.0°, I = 14.0
- 2θ = 36.3°, I = 12.8
- 2θ = 36.4°, I = 12.6
- 2θ = 47.8°, I = 8.8

---

Entry 3:
This entry pairs a crystal structure of Mg3CoO4 with its simulated XRD peak list. Radiation: Cu Kα, 1.54184 Å. Structure: DFT lattice parameters and positions (GGA+U).
No peak broadening, texture or thermal motion is included.

Structural model:
```
Mg3CoO4
1.0
4.253 0.000 0.000
0.000 4.253 0.000
0.000 0.000 4.253
Mg Co O
3 1 4
Direct
0.000 0.000 0.500 Mg
0.000 0.500 0.000 Mg
0.500 0.000 0.000 Mg
0.500 0.500 0.500 Co
0.000 0.000 0.000 O
0.000 0.500 0.500 O
0.500 0.000 0.500 O
0.500 0.500 0.000 O
```

Principal peaks in the range 2θ from 15° to 90°, most intense first:
- 2θ = 42.5°, I = 100.0
- 2θ = 61.7°, I = 56.6
- 2θ = 36.6°, I = 27.2
- 2θ = 20.9°, I = 21.4
- 2θ = 29.7°, I = 17.8
- 2θ = 77.8°, I = 17.2
- 2θ = 73.9°, I = 13.3
- 2θ = 47.8°, I = 8.9

---

Copy entry 1 word for word.
This entry pairs a crystal structure of Ca4MgSi8Ni3O24 with its simulated XRD peak list. Radiation: Cu Kα, 1.54184 Å. Structure: DFT lattice parameters and positions (GGA+U).
No peak broadening, texture or thermal motion is included.

Structural model:
```
Ca4MgSi8Ni3O24
1.0
4.936 -4.494 0.000
4.936 4.494 0.000
-2.914 0.000 10.181
Ca Mg Si Ni O
4 1 8 3 24
Direct
0.000 0.000 0.000 Ca
0.000 0.000 0.500 Ca
0.596 0.403 0.751 Ca
0.597 0.404 0.249 Ca
0.389 0.611 0.500 Mg
0.105 0.323 0.260 Si
0.105 0.323 0.760 Si
0.491 0.081 0.990 Si
0.491 0.082 0.490 Si
0.677 0.895 0.240 Si
0.677 0.895 0.740 Si
0.918 0.509 0.510 Si
0.919 0.509 0.010 Si
0.206 0.794 0.250 Ni
0.206 0.794 0.750 Ni
0.389 0.611 0.000 Ni
0.095 0.674 0.553 O
0.096 0.674 0.053 O
0.188 0.091 0.214 O
0.188 0.091 0.714 O
0.270 0.499 0.303 O
0.270 0.499 0.803 O
0.326 0.904 0.947 O
0.326 0.905 0.447 O
0.408 0.313 0.036 O
0.409 0.314 0.536 O
0.501 0.730 0.197 O
0.501 0.730 0.697 O
0.630 0.071 0.373 O
0.631 0.071 0.873 O
0.667 0.034 0.123 O
0.667 0.034 0.623 O
0.686 0.591 0.464 O
0.687 0.592 0.964 O
0.909 0.812 0.286 O
0.909 0.812 0.786 O
0.929 0.369 0.127 O
0.929 0.370 0.627 O
0.966 0.333 0.377 O
0.966 0.333 0.877 O
```

Principal peaks in the range 2θ from 15° to 90°, most intense first:
- 2θ = 29.6°, I = 100.0
- 2θ = 35.4°, I = 46.0
- 2θ = 35.3°, I = 43.0
- 2θ = 29.9°, I = 38.0
- 2θ = 34.7°, I = 35.9
- 2θ = 42.0°, I = 25.5
- 2θ = 64.9°, I = 20.5
- 2θ = 56.2°, I = 17.9